[1]
CsZnSn: theoretical X-ray diffraction stick pattern (Cu Kα, 1.54184 Å), based on a crystal structure in Alexandria, relaxed with GGA-PBE.

Structural model:
```
data_CsZnSn
_chemical_formula_sum 'Cs4 Zn4 Sn4'
_symmetry_space_group_name_H-M 'P 21 21 21'
_symmetry_Int_Tables_number 19
_cell_length_a 4.6956
_cell_length_b 9.3057
_cell_length_c 11.9211
_cell_angle_alpha 90.00
_cell_angle_beta 90.00
_cell_angle_gamma 90.00
loop_
_symmetry_equiv_pos_as_xyz
'x,y,z'
'-x+1/2,-y,z+1/2'
'x+1/2,-y+1/2,-z'
'-x,y+1/2,-z+1/2'
loop_
_atom_site_label
_atom_site_fract_x
_atom_site_fract_y
_atom_site_fract_z
Cs1 0.2055 0.2025 0.2073
Zn1 0.2001 0.1502 0.5500
Sn1 0.2003 0.4438 0.5255
```

Top 6 peaks for 5° ≤ 2θ ≤ 70°, most intense first:
2θ/deg, d_spacing, I/Imax, hkl
24.31, 3.661, 100, 0 2 2
31.00, 2.885, 49, 1 1 3
22.48, 3.955, 42, 1 1 1
24.13, 3.689, 39, 1 0 2
12.07, 7.335, 38, 0 1 1
25.99, 3.429, 37, 1 1 2



[2]
Cs6Sr: theoretical X-ray diffraction stick pattern (Cu Kα, 1.54184 Å), based on a crystal structure in Alexandria, relaxed with GGA-PBE.

Structural model:
```
data_Cs6Sr
_chemical_formula_sum 'Cs12 Sr2'
_symmetry_space_group_name_H-M 'I m -3 m'
_symmetry_Int_Tables_number 229
_symmetry_space_group_name_Hall '-I 4 2 3'
_cell_length_a 13.1907
_cell_length_b 13.1907
_cell_length_c 13.1907
_cell_angle_alpha 90.00
_cell_angle_beta 90.00
_cell_angle_gamma 90.00
loop_
_atom_site_label
_atom_site_fract_x
_atom_site_fract_y
_atom_site_fract_z
Cs1 0.0000 0.2500 0.5000
Sr1 0.0000 0.0000 0.0000
```

Top 6 peaks for 5° ≤ 2θ ≤ 70°, most intense first:
2θ/deg, d_spacing, I/Imax, hkl
16.46, 5.385, 100, 2 1 1
25.26, 3.525, 72, 3 2 1
23.36, 3.808, 58, 2 2 2
27.04, 3.298, 47, 4 0 0
9.48, 9.327, 40, 1 1 0
13.43, 6.595, 39, 2 0 0



[3]
CsSr: theoretical X-ray diffraction stick pattern (Cu Kα, 1.54184 Å), based on a crystal structure in Alexandria, relaxed with GGA-PBE.

Structural model:
```
data_CsSr
_chemical_formula_sum 'Cs8 Sr8'
_symmetry_space_group_name_H-M 'I 41/a m d'
_symmetry_Int_Tables_number 141
_cell_length_a 9.2782
_cell_length_b 9.2782
_cell_length_c 13.5298
_cell_angle_alpha 90.00
_cell_angle_beta 90.00
_cell_angle_gamma 90.00
loop_
_symmetry_equiv_pos_as_xyz
'x,y,z'
'-x,-y,-z'
'-y+1/4,x+3/4,z+1/4'
'y+1/4,-x+3/4,-z+1/4'
'-x+1/2,-y,z+1/2'
'x+1/2,y,-z+1/2'
'y+1/4,-x+1/4,z+3/4'
'-y+1/4,x+1/4,-z+3/4'
'x,-y,-z'
'-x,y,z'
'-y+1/4,-x+1/4,-z+3/4'
'y+1/4,x+1/4,z+3/4'
'-x+1/2,y,-z+1/2'
'x+1/2,-y,z+1/2'
'y+1/4,x+3/4,-z+1/4'
'-y+1/4,-x+3/4,z+1/4'
'x+1/2,y+1/2,z+1/2'
'-x+1/2,-y+1/2,-z+1/2'
'-y+3/4,x+1/4,z+3/4'
'y+3/4,-x+1/4,-z+3/4'
'-x,-y+1/2,z'
'x,y+1/2,-z'
'y+3/4,-x+3/4,z+1/4'
'-y+3/4,x+3/4,-z+1/4'
'x+1/2,-y+1/2,-z+1/2'
'-x+1/2,y+1/2,z+1/2'
'-y+3/4,-x+3/4,-z+1/4'
'y+3/4,x+3/4,z+1/4'
'-x,y+1/2,-z'
'x,-y+1/2,z'
'y+3/4,x+1/4,-z+3/4'
'-y+3/4,-x+1/4,z+3/4'
loop_
_atom_site_label
_atom_site_fract_x
_atom_site_fract_y
_atom_site_fract_z
Cs1 0.0000 0.0000 0.0000
Sr1 0.0000 0.0000 0.5000
```

Top 6 peaks for 5° ≤ 2θ ≤ 70°, most intense first:
2θ/deg, d_spacing, I/Imax, hkl
23.25, 3.826, 100, 2 0 2
27.18, 3.280, 34, 2 2 0
45.74, 1.983, 32, 4 2 2
38.22, 2.355, 27, 2 2 4
26.35, 3.382, 18, 0 0 4
44.68, 2.028, 17, 2 0 6



[4]
CsSr: theoretical X-ray diffraction stick pattern (Cu Kα, 1.54184 Å), based on a crystal structure in Alexandria, relaxed with GGA-PBE.

Structural model:
```
data_CsSr
_chemical_formula_sum 'Cs8 Sr8'
_symmetry_space_group_name_H-M 'I 4/m'
_symmetry_Int_Tables_number 87
_symmetry_space_group_name_Hall '-I 4'
_cell_length_a 17.2253
_cell_length_b 17.2253
_cell_length_c 4.4593
_cell_angle_alpha 90.00
_cell_angle_beta 90.00
_cell_angle_gamma 90.00
loop_
_atom_site_label
_atom_site_fract_x
_atom_site_fract_y
_atom_site_fract_z
Cs1 0.1198 0.1762 0.0000
Sr1 0.0689 0.6262 0.0000
```

Top 6 peaks for 5° ≤ 2θ ≤ 70°, most intense first:
2θ/deg, d_spacing, I/Imax, hkl
20.60, 4.311, 100, 4 0 0
27.36, 3.260, 95, 2 3 1
23.08, 3.854, 85, 2 4 0
45.88, 1.978, 41, 6 5 1
37.64, 2.390, 38, 6 1 1
29.30, 3.048, 36, 4 1 1



[5]
CsSr: theoretical X-ray diffraction stick pattern (Cu Kα, 1.54184 Å), based on a crystal structure in Alexandria, relaxed with GGA-PBE.

Structural model:
```
data_CsSr
_chemical_formula_sum 'Cs2 Sr2'
_symmetry_space_group_name_H-M 'P 1 21/m 1'
_symmetry_Int_Tables_number 11
_cell_length_a 4.6162
_cell_length_b 4.6138
_cell_length_c 14.3807
_cell_angle_alpha 90.00
_cell_angle_beta 90.02
_cell_angle_gamma 90.00
loop_
_symmetry_equiv_pos_as_xyz
'x,y,z'
'-x,-y,-z'
'-x,y+1/2,-z'
'x,-y+1/2,z'
loop_
_atom_site_label
_atom_site_fract_x
_atom_site_fract_y
_atom_site_fract_z
Cs1 0.2493 0.2500 0.3456
Sr1 0.2501 0.2500 0.9048
```

Top 6 peaks for 5° ≤ 2θ ≤ 70°, most intense first:
2θ/deg, d_spacing, I/Imax, hkl
22.90, 3.884, 100, 1 0 -2
27.33, 3.263, 37, 1 1 0
45.74, 1.984, 31, 2 1 -2
37.21, 2.416, 18, 1 1 -4
39.03, 2.308, 14, 2 0 0
36.82, 2.441, 14, 1 0 5



[6]
Cs2SrTe10: theoretical X-ray diffraction stick pattern (Cu Kα, 1.54184 Å), based on a crystal structure in Alexandria, relaxed with GGA-PBE.

Structural model:
```
data_Cs2SrTe10
_chemical_formula_sum 'Cs4 Sr2 Te20'
_symmetry_space_group_name_H-M 'P 1 21/c 1'
_symmetry_Int_Tables_number 14
_cell_length_a 5.4529
_cell_length_b 16.1882
_cell_length_c 13.8024
_cell_angle_alpha 90.00
_cell_angle_beta 90.06
_cell_angle_gamma 90.00
loop_
_symmetry_equiv_pos_as_xyz
'x,y,z'
'-x,-y,-z'
'-x,y+1/2,-z+1/2'
'x,-y+1/2,z+1/2'
loop_
_atom_site_label
_atom_site_fract_x
_atom_site_fract_y
_atom_site_fract_z
Cs1 0.0036 0.2162 0.1827
Sr1 0.5000 0.0000 0.5000
Te1 0.0050 0.1428 0.4397
Te2 0.4947 0.5360 0.2373
Te3 0.4946 0.7038 0.0105
Te4 0.4973 0.5866 0.4819
Te5 0.4984 0.6208 0.6813
```

Top 6 peaks for 5° ≤ 2θ ≤ 70°, most intense first:
2θ/deg, d_spacing, I/Imax, hkl
32.83, 2.728, 100, 2 0 0
19.63, 4.522, 39, 1 2 0
16.26, 5.453, 36, 1 0 0
31.17, 2.870, 35, 1 1 4
30.66, 2.916, 28, 1 0 -4
33.85, 2.648, 25, 0 6 1



[7]
Cs2Ta4Te7: theoretical X-ray diffraction stick pattern (Cu Kα, 1.54184 Å), based on a crystal structure in Alexandria, relaxed with GGA-PBE.

Structural model:
```
data_Cs2Ta4Te7
_chemical_formula_sum 'Cs2 Ta4 Te7'
_symmetry_space_group_name_H-M 'P -3 1 m'
_symmetry_Int_Tables_number 162
_symmetry_space_group_name_Hall '-P 3 2'
_cell_length_a 7.3548
_cell_length_b 7.3548
_cell_length_c 9.8506
_cell_angle_alpha 90.00
_cell_angle_beta 90.00
_cell_angle_gamma 120.00
loop_
_atom_site_label
_atom_site_fract_x
_atom_site_fract_y
_atom_site_fract_z
Cs1 0.3333 0.6667 0.0000
Ta1 0.0000 0.0000 0.2693
Ta2 0.3333 0.6667 0.5000
Te1 0.0000 0.0000 0.0000
Te2 0.0000 0.3560 0.3382
```

Top 6 peaks for 5° ≤ 2θ ≤ 70°, most intense first:
2θ/deg, d_spacing, I/Imax, hkl
44.27, 2.046, 100, 2 -1 4
42.58, 2.123, 96, 3 0 0
30.33, 2.947, 95, 1 1 2
22.82, 3.896, 77, 1 0 2
25.86, 3.445, 73, 2 -1 1
24.20, 3.677, 71, 1 1 0



[8]
Cs7TaTe6: theoretical X-ray diffraction stick pattern (Cu Kα, 1.54184 Å), based on a crystal structure in Alexandria, relaxed with GGA-PBE.

Structural model:
```
data_Cs7TaTe6
_chemical_formula_sum 'Cs28 Ta4 Te24'
_symmetry_space_group_name_H-M 'I b a m'
_symmetry_Int_Tables_number 72
_symmetry_space_group_name_Hall '-I 2 2c'
_cell_length_a 9.7824
_cell_length_b 17.0164
_cell_length_c 20.2363
_cell_angle_alpha 90.00
_cell_angle_beta 90.00
_cell_angle_gamma 90.00
loop_
_atom_site_label
_atom_site_fract_x
_atom_site_fract_y
_atom_site_fract_z
Cs1 0.0000 0.0000 0.2500
Cs2 0.1474 0.2822 0.1192
Cs3 0.2278 0.0372 0.0000
Ta1 0.0000 0.5000 0.2500
Te1 0.0769 0.1668 0.5000
Te2 0.1617 0.4100 0.3209
```

Top 6 peaks for 5° ≤ 2θ ≤ 70°, most intense first:
2θ/deg, d_spacing, I/Imax, hkl
13.61, 6.504, 100, 0 2 2
20.43, 4.348, 91, 0 2 4
29.14, 3.064, 90, 2 1 5
23.22, 3.831, 75, 1 4 1
27.47, 3.247, 61, 2 3 3
22.74, 3.911, 50, 2 2 2



[9]
Cs2Tb2UTe6: theoretical X-ray diffraction stick pattern (Cu Kα, 1.54184 Å), based on a crystal structure in Alexandria, relaxed with GGA-PBE.

Structural model:
```
data_Cs2Tb2UTe6
_chemical_formula_sum 'Cs4 Tb4 U2 Te12'
_symmetry_space_group_name_H-M 'C 1 2/m 1'
_symmetry_Int_Tables_number 12
_cell_length_a 7.7426
_cell_length_b 13.3954
_cell_length_c 9.5479
_cell_angle_alpha 90.00
_cell_angle_beta 105.93
_cell_angle_gamma 90.00
loop_
_symmetry_equiv_pos_as_xyz
'x,y,z'
'-x,-y,-z'
'-x,y,-z'
'x,-y,z'
'x+1/2,y+1/2,z'
'-x+1/2,-y+1/2,-z'
'-x+1/2,y+1/2,-z'
'x+1/2,-y+1/2,z'
loop_
_atom_site_label
_atom_site_fract_x
_atom_site_fract_y
_atom_site_fract_z
Cs1 0.0000 0.1680 0.0000
Tb1 0.0000 0.3324 0.5000
U1 0.0000 0.0000 0.5000
Te1 0.2299 0.1640 0.6888
Te2 0.2328 0.5000 0.6874
```

Top 6 peaks for 5° ≤ 2θ ≤ 70°, most intense first:
2θ/deg, d_spacing, I/Imax, hkl
26.45, 3.369, 100, 1 3 1
9.63, 9.181, 73, 0 0 1
40.38, 2.234, 55, 3 3 -1
26.36, 3.381, 52, 2 0 -2
34.85, 2.574, 32, 1 3 -3
48.90, 1.862, 29, 4 0 0



[10]
Cs3Tb2YTe6: theoretical X-ray diffraction stick pattern (Cu Kα, 1.54184 Å), based on a crystal structure in Alexandria, relaxed with GGA-PBE.

Structural model:
```
data_Cs3Tb2YTe6
_chemical_formula_sum 'Cs6 Tb4 Y2 Te12'
_symmetry_space_group_name_H-M 'C 1 2/m 1'
_symmetry_Int_Tables_number 12
_cell_length_a 7.9070
_cell_length_b 13.6963
_cell_length_c 9.3028
_cell_angle_alpha 90.00
_cell_angle_beta 106.46
_cell_angle_gamma 90.00
loop_
_symmetry_equiv_pos_as_xyz
'x,y,z'
'-x,-y,-z'
'-x,y,-z'
'x,-y,z'
'x+1/2,y+1/2,z'
'-x+1/2,-y+1/2,-z'
'-x+1/2,y+1/2,-z'
'x+1/2,-y+1/2,z'
loop_
_atom_site_label
_atom_site_fract_x
_atom_site_fract_y
_atom_site_fract_z
Cs1 0.0000 0.0000 0.0000
Cs2 0.0000 0.3331 0.0000
Tb1 0.0000 0.1666 0.5000
Y1 0.0000 0.5000 0.5000
Te1 0.2298 0.3336 0.6901
Te2 0.2307 0.0000 0.6903
```

Top 6 peaks for 5° ≤ 2θ ≤ 70°, most intense first:
2θ/deg, d_spacing, I/Imax, hkl
26.18, 3.404, 100, 1 3 1
39.48, 2.283, 38, 0 6 0
35.14, 2.554, 31, 2 0 2
47.99, 1.896, 19, 4 0 0
63.82, 1.458, 16, 4 6 0
9.91, 8.922, 12, 0 0 1



[11]
Cs3Te4: theoretical X-ray diffraction stick pattern (Cu Kα, 1.54184 Å), based on a crystal structure in Alexandria, relaxed with GGA-PBE.

Structural model:
```
data_Cs3Te4
_chemical_formula_sum 'Cs6 Te8'
_symmetry_space_group_name_H-M 'I m m m'
_symmetry_Int_Tables_number 71
_symmetry_space_group_name_Hall '-I 2 2'
_cell_length_a 5.3653
_cell_length_b 5.6104
_cell_length_c 22.9308
_cell_angle_alpha 90.00
_cell_angle_beta 90.00
_cell_angle_gamma 90.00
loop_
_atom_site_label
_atom_site_fract_x
_atom_site_fract_y
_atom_site_fract_z
Cs1 0.0000 0.0000 0.0000
Cs2 0.0000 0.5000 0.3190
Te1 0.0000 0.0000 0.4389
Te2 0.0000 0.5000 0.1449
```

Top 6 peaks for 5° ≤ 2θ ≤ 70°, most intense first:
2θ/deg, d_spacing, I/Imax, hkl
24.23, 3.673, 100, 1 1 2
27.78, 3.212, 39, 1 1 4
25.08, 3.551, 35, 0 1 5
31.90, 2.805, 33, 0 2 0
32.01, 2.796, 33, 1 0 7
33.40, 2.683, 29, 2 0 0



[12]
Cs3Te5: theoretical X-ray diffraction stick pattern (Cu Kα, 1.54184 Å), based on a crystal structure in Alexandria, relaxed with GGA-PBE.

Structural model:
```
data_Cs3Te5
_chemical_formula_sum 'Cs24 Te40'
_symmetry_space_group_name_H-M 'F d d 2'
_symmetry_Int_Tables_number 43
_symmetry_space_group_name_Hall 'F 2 -2d'
_cell_length_a 7.5989
_cell_length_b 22.6256
_cell_length_c 18.8658
_cell_angle_alpha 90.00
_cell_angle_beta 90.00
_cell_angle_gamma 90.00
loop_
_atom_site_label
_atom_site_fract_x
_atom_site_fract_y
_atom_site_fract_z
Cs1 0.0000 0.0000 0.0000
Cs2 0.0070 0.3355 0.0066
Te1 0.0000 0.0000 0.4000
Te2 0.0067 0.1563 0.0944
Te3 0.0092 0.3356 0.4315
```

Top 6 peaks for 5° ≤ 2θ ≤ 70°, most intense first:
2θ/deg, d_spacing, I/Imax, hkl
28.95, 3.084, 100, 1 3 5
33.48, 2.676, 80, 2 6 0
25.27, 3.524, 80, 2 0 2
25.44, 3.502, 78, 0 6 2
21.80, 4.076, 47, 1 3 3
37.36, 2.407, 40, 1 3 7